# Dy3Ho2Te8
Simulated powder diffractogram, Cu Kα (λ = 1.5418 Å). Input: a structure optimized by DFT (GGA-PBE).
Intensities are scaled so that the largest is 100.

Peak list (10 most intense, 10 to 90 degrees two-theta, sorted by position)
18.64 deg, rel. 34.2, hkl 1 1 1; 21.30 deg, rel. 23.3, hkl 3 1 -1; 25.13 deg, rel. 70.9, hkl 2 2 -1; 31.42 deg, rel. 52.7, hkl 2 0 2; 31.57 deg, rel. 100.0, hkl 4 2 -1; 37.53 deg, rel. 53.6, hkl 4 2 1; 37.83 deg, rel. 28.7, hkl 6 0 -2; 41.64 deg, rel. 32.0, hkl 0 4 0; 41.77 deg, rel. 63.1, hkl 2 2 -3; 53.08 deg, rel. 25.0, hkl 2 4 2

Cell and atoms:
```
data_Dy3Ho2Te8
_cell_length_a 15.275
_cell_length_b 8.676
_cell_length_c 7.483
_cell_angle_alpha 90.00
_cell_angle_beta 108.56
_cell_angle_gamma 90.00
_symmetry_space_group_name_H-M 'C 1 2/m 1'
_symmetry_Int_Tables_number 12
_symmetry_space_group_name_Hall '-C 2y'
loop_
_atom_site_label
_atom_site_fract_x
_atom_site_fract_y
_atom_site_fract_z
Dy1 0.000 0.000 0.000
Dy2 0.000 0.257 0.500
Ho1 0.250 0.000 0.831
Te1 0.118 0.500 0.397
Te2 0.122 0.000 0.416
Te3 0.122 0.249 0.913
```